The following is a computed X-ray powder pattern of FeSbNF2. It was derived from a cell relaxed with PBE+U, using Cu Ka.

```
5
Lattice="3.9700 0.0000 0.0000 0.0000 3.9700 0.0000 0.0000 0.0000 4.2473" Properties=species:S:1:pos:R:3 pbc="T T T"
Fe 0.0000 0.0000 0.0000
Sb 1.9850 1.9850 2.1236
N 0.0000 0.0000 2.1236
F 0.0000 1.9850 0.0000
F 1.9850 0.0000 0.0000
```

Top 10 peaks for 2θ from 15° to 90°, by intensity:
d = 2.900 Å, 2θ 30.83, intensity 100.0, (1 0 1); d = 2.807 Å, 2θ 31.88, intensity 39.3, (1 1 0); d = 1.638 Å, 2θ 56.15, intensity 35.9, (2 1 1); d = 1.985 Å, 2θ 45.71, intensity 31.3, (2 0 0); d = 2.342 Å, 2θ 38.44, intensity 25.7, (1 1 1); d = 1.450 Å, 2θ 64.23, intensity 20.5, (2 0 2); d = 2.124 Å, 2θ 42.57, intensity 19.5, (0 0 2); d = 1.694 Å, 2θ 54.15, intensity 17.2, (1 1 2); d = 1.264 Å, 2θ 75.19, intensity 10.4, (3 0 1); d = 1.107 Å, 2θ 88.29, intensity 10.1, (2 1 3)